# 1
Starting from a cell relaxed with PBE+U, the X-ray powder pattern of SrTbNdCoO6 was calculated for CuKα.
Intensities are scaled so that the largest is 100.

Largest 6 diffraction maxima, low angle first, 2θ from 10° to 90°:
two_theta, intensity
19.08, 12
31.40, 100
45.01, 30
55.91, 39
65.54, 18
74.48, 17

Atomic structure:
Cell lengths 5.697, 5.697, 5.697 Å; angles 60.00, 60.00, 60.00 degrees
Element x y z (fractional)
Sr 0.000 0.000 0.000
Tb 0.250 0.250 0.250
Nd 0.500 0.500 0.500
Co 0.750 0.750 0.750
O 0.519 0.519 0.981
O 0.519 0.981 0.519
O 0.519 0.981 0.981
O 0.981 0.519 0.519
O 0.981 0.519 0.981
O 0.981 0.981 0.519

=====

# 2
Starting from a cell relaxed with PBE+U, the X-ray powder pattern of NiH10C2N4O6 was calculated for CuKα.
Intensities are scaled so that the largest is 100.

Largest 6 diffraction maxima, low angle first, 2θ from 10° to 90°:
two_theta, intensity
15.02, 98
18.03, 100
21.30, 54
25.47, 36
31.38, 54
45.04, 27

Atomic structure:
Cell lengths 6.798, 6.798, 10.462 Å; angles 106.95, 106.95, 61.93 degrees
Element x y z (fractional)
Ni 0.000 0.000 0.000
Ni 0.000 0.000 0.500
H 0.032 0.228 0.758
H 0.150 0.485 0.715
H 0.172 0.599 0.346
H 0.228 0.032 0.258
H 0.248 0.557 0.937
H 0.314 0.637 0.595
H 0.363 0.686 0.905
H 0.401 0.828 0.154
H 0.443 0.752 0.563
H 0.485 0.150 0.215
H 0.515 0.850 0.785
H 0.557 0.248 0.437
H 0.599 0.172 0.846
H 0.637 0.314 0.095
H 0.686 0.363 0.405
H 0.752 0.443 0.063
H 0.772 0.968 0.742
H 0.828 0.401 0.654
H 0.850 0.515 0.285
H 0.968 0.772 0.242
C 0.222 0.273 0.532
C 0.273 0.222 0.032
C 0.727 0.778 0.968
C 0.778 0.727 0.468
N 0.014 0.731 0.338
N 0.143 0.341 0.651
N 0.269 0.986 0.162
N 0.341 0.143 0.151
N 0.659 0.857 0.849
N 0.731 0.014 0.838
N 0.857 0.659 0.349
N 0.986 0.269 0.662
O 0.118 0.179 0.941
O 0.179 0.118 0.441
O 0.213 0.681 0.889
O 0.319 0.787 0.611
O 0.338 0.369 0.521
O 0.369 0.338 0.021
O 0.631 0.662 0.979
O 0.662 0.631 0.479
O 0.681 0.213 0.389
O 0.787 0.319 0.111
O 0.821 0.882 0.559
O 0.882 0.821 0.059

=====

# 3
Starting from a cell relaxed with PBE+U, the X-ray powder pattern of Na2CoPCO7 was calculated for CuKα.
Intensities are scaled so that the largest is 100.

Largest 6 diffraction maxima, low angle first, 2θ from 10° to 90°:
two_theta, intensity
16.95, 72
21.80, 33
25.74, 60
27.70, 48
34.04, 100
34.28, 58

Atomic structure:
Cell lengths 5.267, 6.442, 8.967 Å; angles 90.00, 91.61, 90.00 degrees
Element x y z (fractional)
Na 0.238 0.003 0.266
Na 0.238 0.497 0.266
Na 0.762 0.503 0.734
Na 0.762 0.997 0.734
Co 0.216 0.250 0.849
Co 0.784 0.750 0.151
P 0.288 0.750 0.927
P 0.712 0.250 0.073
C 0.278 0.250 0.575
C 0.722 0.750 0.425
O 0.053 0.250 0.634
O 0.157 0.750 0.078
O 0.204 0.555 0.835
O 0.204 0.945 0.835
O 0.312 0.250 0.437
O 0.417 0.250 0.051
O 0.466 0.250 0.674
O 0.534 0.750 0.326
O 0.583 0.750 0.949
O 0.688 0.750 0.563
O 0.796 0.055 0.165
O 0.796 0.445 0.165
O 0.843 0.250 0.922
O 0.947 0.750 0.366

=====

# 4
Starting from a cell relaxed with PBE+U, the X-ray powder pattern of Li3Mn2Si2O8 was calculated for CuKα.
Intensities are scaled so that the largest is 100.

Largest 6 diffraction maxima, low angle first, 2θ from 10° to 90°:
two_theta, intensity
15.66, 55
21.37, 53
21.89, 67
23.49, 100
31.62, 62
35.18, 59

Atomic structure:
Cell lengths 5.102, 10.616, 6.688 Å; angles 90.00, 90.16, 90.00 degrees
Element x y z (fractional)
Li 0.045 0.000 0.016
Li 0.066 0.236 0.252
Li 0.435 0.918 0.256
Li 0.565 0.418 0.744
Li 0.934 0.736 0.748
Li 0.955 0.500 0.984
Mn 0.071 0.234 0.738
Mn 0.448 0.917 0.747
Mn 0.552 0.417 0.253
Mn 0.929 0.734 0.262
Si 0.067 0.488 0.505
Si 0.439 0.668 0.001
Si 0.561 0.168 0.999
Si 0.933 0.988 0.495
O 0.005 0.137 0.490
O 0.047 0.919 0.291
O 0.048 0.923 0.706
O 0.114 0.668 0.004
O 0.387 0.466 0.504
O 0.446 0.243 0.195
O 0.448 0.021 0.001
O 0.453 0.243 0.799
O 0.547 0.743 0.201
O 0.552 0.521 0.999
O 0.554 0.743 0.805
O 0.613 0.966 0.496
O 0.886 0.168 0.996
O 0.952 0.423 0.294
O 0.953 0.419 0.709
O 0.995 0.637 0.510

=====

Which formula does entry 4 have?
Li3Mn2Si2O8